Calculated powder XRD pattern
Compound: Li4CoP2O8
Radiation: copper Kα
Structure: DFT lattice parameters and positions (PBE+U)
Neutral-atom scattering factors, no anomalous dispersion.

Most intense lines, 2θ from 5° to 70°, low angle first:
d 6.050, 14.64 deg, I = 16, (0 0 1)
d 5.414, 16.37 deg, I = 47, (0 1 0)
d 4.304, 20.64 deg, I = 100, (0 1 -1)
d 3.562, 25.00 deg, I = 49, (1 0 1)
d 3.348, 26.63 deg, I = 18, (1 1 0)
d 3.249, 27.45 deg, I = 18, (-1 1 1)
d 2.760, 32.44 deg, I = 24, (1 1 1)
d 2.684, 33.38 deg, I = 18, (1 0 -2)
d 2.510, 35.78 deg, I = 27, (1 -2 0)
d 2.436, 36.91 deg, I = 29, (1 1 -2)

Structural model:
```
data_Li4CoP2O8
_cell_length_a 4.8244
_cell_length_b 5.5011
_cell_length_c 6.1205
_cell_angle_alpha 96.24
_cell_angle_beta 95.15
_cell_angle_gamma 97.44
_space_group_name_H-M_alt 'P -1'
_space_group_IT_number 2
loop_
_space_group_symop_operation_xyz
'x,y,z'
'-x,-y,-z'
loop_
_atom_site_label
_atom_site_fract_x
_atom_site_fract_y
_atom_site_fract_z
Li1 0.1820 0.2868 0.0300
Li2 0.2154 0.5284 0.6795
Co1 0.0000 0.0000 0.5000
P1 0.3472 0.8046 0.2253
O1 0.1943 0.6709 0.4051
O2 0.2423 0.6624 0.9950
O3 0.2573 0.0673 0.2472
O4 0.3288 0.1931 0.7351
```